Record 1
Simulated X-ray powder pattern
Compound: SrSc2Tc
Radiation: copper Kα
Structure: DFT lattice parameters and positions (PBE)

Atomic structure:
a = 3.4051 Å, b = 6.3170 Å, c = 9.7724 Å
α = 90.00°, β = 90.00°, γ = 90.00°
Fractional coordinates of all 8 atoms:
Sr 0.0181 0.0000 0.0000
Sr 0.9819 0.0000 0.5000
Sc 0.0000 0.3806 0.7500
Sc 0.0000 0.6194 0.2500
Sc 0.4930 0.5000 0.5000
Sc 0.5070 0.5000 0.0000
Tc 0.5000 0.3056 0.2500
Tc 0.5000 0.6944 0.7500

Peak list (6 most intense, 5° ≤ 2θ ≤ 70°, in order of falling intensity)
| Position (°2θ) | I (rel.) |
| --- | --- |
| 33.8 | 100 |
| 31.2 | 92 |
| 23.0 | 76 |
| 35.1 | 72 |
| 36.8 | 71 |
| 29.8 | 60 |



Record 2
Simulated X-ray powder pattern
Compound: Tb2Sc
Radiation: copper Kα
Structure: DFT lattice parameters and positions (PBE)

Atomic structure:
a = 6.3520 Å, b = 6.3520 Å, c = 6.3520 Å
α = 60.00°, β = 60.00°, γ = 60.00°
Fractional coordinates of all 6 atoms:
Tb 0.0000 0.0000 0.0000
Tb 0.0000 0.0000 0.5000
Tb 0.0000 0.5000 0.0000
Tb 0.5000 0.0000 0.0000
Sc 0.3750 0.3750 0.3750
Sc 0.6250 0.6250 0.6250

Peak list (6 most intense, 5° ≤ 2θ ≤ 70°, in order of falling intensity)
| Position (°2θ) | I (rel.) |
| --- | --- |
| 33.1 | 100 |
| 34.6 | 82 |
| 17.1 | 72 |
| 58.1 | 36 |
| 53.0 | 35 |
| 69.4 | 33 |



Record 3
Simulated X-ray powder pattern
Compound: ZrScTe2
Radiation: copper Kα
Structure: DFT lattice parameters and positions (PBE)

Atomic structure:
a = 5.1729 Å, b = 5.1729 Å, c = 5.1729 Å
α = 60.00°, β = 60.00°, γ = 60.00°
Fractional coordinates of all 4 atoms:
Zr 0.0000 0.0000 0.0000
Sc 0.7500 0.7500 0.7500
Te 0.2500 0.2500 0.2500
Te 0.5000 0.5000 0.5000

Peak list (6 most intense, 5° ≤ 2θ ≤ 70°, in order of falling intensity)
| Position (°2θ) | I (rel.) |
| --- | --- |
| 34.7 | 100 |
| 62.2 | 35 |
| 49.9 | 17 |
| 21.0 | 11 |
| 40.9 | 6 |
| 54.7 | 3 |



Record 4
Simulated X-ray powder pattern
Compound: Zr2ScTe4
Radiation: copper Kα
Structure: DFT lattice parameters and positions (PBE)

Atomic structure:
a = 7.9343 Å, b = 7.9343 Å, c = 7.1677 Å
α = 116.04°, β = 116.04°, γ = 28.88°
Fractional coordinates of all 7 atoms:
Zr 0.2493 0.2493 0.2034
Zr 0.7507 0.7507 0.7966
Sc 0.5000 0.5000 0.5000
Te 0.1335 0.1335 0.4633
Te 0.3934 0.3934 0.0494
Te 0.6066 0.6066 0.9506
Te 0.8665 0.8665 0.5367

Peak list (6 most intense, 5° ≤ 2θ ≤ 70°, in order of falling intensity)
| Position (°2θ) | I (rel.) |
| --- | --- |
| 28.8 | 100 |
| 28.3 | 49 |
| 37.0 | 41 |
| 44.3 | 40 |
| 36.8 | 28 |
| 45.9 | 22 |